(1)
# Tl2Sb3Pb5
Calculated powder XRD pattern, Cu Kα (weighted mean of Kα1 and Kα2). Input: DFT lattice parameters and positions (PBE).
Intensities are scaled so that the largest is 100.

Structure:
Cell: 17.394 17.394 6.915 Å, 90.00 90.00 161.99°
Atoms (fractional coordinates):
Tl (0.009, 0.991, 0.500)
Tl (0.345, 0.655, 0.468)
Tl (0.655, 0.345, 0.968)
Tl (0.991, 0.009, 0.000)
Sb (0.104, 0.896, 0.703)
Sb (0.279, 0.721, 0.026)
Sb (0.455, 0.545, 0.723)
Sb (0.545, 0.455, 0.223)
Sb (0.721, 0.279, 0.526)
Sb (0.896, 0.104, 0.203)
Pb (0.095, 0.905, 0.167)
Pb (0.197, 0.803, 0.262)
Pb (0.201, 0.799, 0.756)
Pb (0.370, 0.630, 0.958)
Pb (0.450, 0.550, 0.272)
Pb (0.550, 0.450, 0.772)
Pb (0.630, 0.370, 0.458)
Pb (0.799, 0.201, 0.256)
Pb (0.803, 0.197, 0.762)
Pb (0.905, 0.095, 0.667)

Principal peaks in the range 2θ = 10–80°, in order of rising 2θ:
2θ 27.66, I 19
2θ 28.55, I 27
2θ 31.63, I 100
2θ 32.90, I 53
2θ 33.06, I 50
2θ 33.29, I 35
2θ 47.48, I 21
2θ 57.94, I 18

---

(2)
# LaCrFe2Sn
Calculated powder XRD pattern, Cu Kα (weighted mean of Kα1 and Kα2). Input: DFT lattice parameters and positions (PBE).
Intensities are scaled so that the largest is 100.

Structure:
Cell: 4.804 4.804 5.863 Å, 90.00 90.00 90.00°
Atoms (fractional coordinates):
La (0.000, 0.000, 0.000)
Cr (0.500, 0.500, 0.000)
Fe (0.000, 0.500, 0.500)
Fe (0.500, 0.000, 0.500)
Sn (0.000, 0.000, 0.500)

Principal peaks in the range 2θ = 10–80°, in order of rising 2θ:
2θ 18.47, I 83
2θ 26.24, I 33
2θ 30.46, I 100
2θ 35.89, I 33
2θ 37.44, I 64
2θ 49.03, I 58
2θ 52.83, I 23
2θ 63.27, I 35

---

(3)
# Ce2CuAs4Pt3
Calculated powder XRD pattern, Cu Kα (weighted mean of Kα1 and Kα2). Input: DFT lattice parameters and positions (PBE).
Intensities are scaled so that the largest is 100.

Structure:
Cell: 4.457 4.457 9.817 Å, 90.00 90.00 90.00°
Atoms (fractional coordinates):
Ce (0.000, 0.500, 0.248)
Ce (0.500, 0.000, 0.752)
Cu (0.500, 0.500, 0.000)
As (0.000, 0.000, 0.500)
As (0.000, 0.500, 0.873)
As (0.500, 0.000, 0.127)
As (0.500, 0.500, 0.500)
Pt (0.000, 0.000, 0.000)
Pt (0.000, 0.500, 0.621)
Pt (0.500, 0.000, 0.379)

Principal peaks in the range 2θ = 10–80°, in order of rising 2θ:
2θ 28.32, I 27
2θ 33.80, I 100
2θ 33.99, I 100
2θ 40.48, I 100
2θ 46.92, I 39
2θ 50.82, I 28
2θ 53.86, I 54
2θ 58.58, I 34

---

(4)
# AgPPb
Calculated powder XRD pattern, Cu Kα (weighted mean of Kα1 and Kα2). Input: DFT lattice parameters and positions (PBE).
Intensities are scaled so that the largest is 100.

Structure:
Cell: 4.310 4.310 4.312 Å, 90.00 90.00 120.00°
Atoms (fractional coordinates):
Ag (0.000, 0.000, 0.000)
P (0.667, 0.333, 0.000)
Pb (0.333, 0.667, 0.500)

Principal peaks in the range 2θ = 10–80°, in order of rising 2θ:
2θ 23.84, I 27
2θ 31.70, I 100
2θ 41.92, I 46
2θ 48.78, I 13
2θ 53.50, I 23
2θ 60.76, I 23
2θ 66.24, I 7
2θ 70.18, I 31

---

(5)
# Pm10SmEr4
Calculated powder XRD pattern, Cu Kα (weighted mean of Kα1 and Kα2). Input: DFT lattice parameters and positions (PBE).
Intensities are scaled so that the largest is 100.

Structure:
Cell: 8.869 8.869 8.869 Å, 111.74 111.74 105.02°
Atoms (fractional coordinates):
Pm (0.050, 0.944, 0.656)
Pm (0.056, 0.712, 0.106)
Pm (0.250, 0.750, 0.500)
Pm (0.288, 0.394, 0.344)
Pm (0.394, 0.050, 0.106)
Pm (0.606, 0.950, 0.894)
Pm (0.712, 0.606, 0.656)
Pm (0.750, 0.250, 0.500)
Pm (0.944, 0.288, 0.894)
Pm (0.950, 0.056, 0.344)
Sm (0.000, 0.000, 0.000)
Er (0.222, 0.556, 0.779)
Er (0.444, 0.222, 0.666)
Er (0.556, 0.778, 0.334)
Er (0.778, 0.444, 0.221)

Principal peaks in the range 2θ = 10–80°, in order of rising 2θ:
2θ 21.60, I 17
2θ 26.34, I 25
2θ 28.36, I 80
2θ 31.98, I 100
2θ 32.95, I 36
2θ 40.54, I 29
2θ 41.22, I 23
2θ 59.15, I 20

---

(6)
# CsMn2CrBr8
Calculated powder XRD pattern, Cu Kα (weighted mean of Kα1 and Kα2). Input: DFT lattice parameters and positions (PBE).
Intensities are scaled so that the largest is 100.

Structure:
Cell: 11.802 11.802 11.802 Å, 32.65 32.65 32.65°
Atoms (fractional coordinates):
Cs (0.000, 0.000, 0.000)
Mn (0.237, 0.237, 0.237)
Mn (0.763, 0.763, 0.763)
Cr (0.500, 0.500, 0.500)
Br (0.158, 0.429, 0.761)
Br (0.239, 0.571, 0.842)
Br (0.309, 0.309, 0.309)
Br (0.429, 0.761, 0.158)
Br (0.571, 0.842, 0.239)
Br (0.691, 0.691, 0.691)
Br (0.761, 0.158, 0.429)
Br (0.842, 0.239, 0.571)

Principal peaks in the range 2θ = 10–80°, in order of rising 2θ:
2θ 18.73, I 74
2θ 23.92, I 68
2θ 26.88, I 75
2θ 28.06, I 100
2θ 31.37, I 41
2θ 36.28, I 47
2θ 42.32, I 48
2θ 47.46, I 62

---

(7)
# La2Cu3Sn4Pd
Calculated powder XRD pattern, Cu Kα (weighted mean of Kα1 and Kα2). Input: DFT lattice parameters and positions (PBE).
Intensities are scaled so that the largest is 100.

Structure:
Cell: 4.566 4.566 10.680 Å, 90.00 90.00 90.00°
Atoms (fractional coordinates):
La (0.000, 0.500, 0.241)
La (0.500, 0.000, 0.759)
Cu (0.000, 0.000, 0.000)
Cu (0.000, 0.500, 0.632)
Cu (0.500, 0.000, 0.368)
Sn (0.000, 0.000, 0.500)
Sn (0.000, 0.500, 0.871)
Sn (0.500, 0.000, 0.129)
Sn (0.500, 0.500, 0.500)
Pd (0.500, 0.500, 0.000)

Principal peaks in the range 2θ = 10–80°, in order of rising 2θ:
2θ 31.87, I 54
2θ 32.40, I 100
2θ 39.47, I 66
2θ 44.01, I 24
2θ 46.96, I 23
2θ 51.60, I 28
2θ 57.05, I 22
2θ 67.16, I 24

---

(8)
# Zr4PdRh
Calculated powder XRD pattern, Cu Kα (weighted mean of Kα1 and Kα2). Input: DFT lattice parameters and positions (PBE).
Intensities are scaled so that the largest is 100.

Structure:
Cell: 6.629 6.629 5.531 Å, 90.00 90.00 90.00°
Atoms (fractional coordinates):
Zr (0.157, 0.334, 0.000)
Zr (0.157, 0.666, 0.500)
Zr (0.334, 0.157, 0.500)
Zr (0.334, 0.843, 0.000)
Zr (0.666, 0.157, 0.000)
Zr (0.666, 0.843, 0.500)
Zr (0.843, 0.334, 0.500)
Zr (0.843, 0.666, 0.000)
Pd (0.500, 0.500, 0.250)
Pd (0.500, 0.500, 0.750)
Rh (0.000, 0.000, 0.250)
Rh (0.000, 0.000, 0.750)

Principal peaks in the range 2θ = 10–80°, in order of rising 2θ:
2θ 34.32, I 100
2θ 37.77, I 48
2θ 38.41, I 18
2θ 42.57, I 48
2θ 43.16, I 54
2θ 59.00, I 20
2θ 65.68, I 18
2θ 69.04, I 26

---

(9)
# DyNiPd2
Calculated powder XRD pattern, Cu Kα (weighted mean of Kα1 and Kα2). Input: DFT lattice parameters and positions (PBE).
Intensities are scaled so that the largest is 100.

Structure:
Cell: 4.079 4.079 3.987 Å, 90.00 90.00 90.00°
Atoms (fractional coordinates):
Dy (0.000, 0.000, 0.000)
Ni (0.500, 0.500, 0.000)
Pd (0.000, 0.500, 0.500)
Pd (0.500, 0.000, 0.500)

Principal peaks in the range 2θ = 10–80°, in order of rising 2θ:
2θ 21.79, I 10
2θ 38.52, I 100
2θ 44.42, I 33
2θ 45.50, I 15
2θ 64.63, I 11
2θ 65.47, I 20
2θ 77.83, I 25
2θ 79.38, I 12

---

(10)
# TcPdW2N
Calculated powder XRD pattern, Cu Kα (weighted mean of Kα1 and Kα2). Input: DFT lattice parameters and positions (PBE).
Intensities are scaled so that the largest is 100.

Structure:
Cell: 4.101 4.101 4.079 Å, 90.00 90.00 90.00°
Atoms (fractional coordinates):
Tc (0.000, 0.000, 0.000)
Pd (0.500, 0.500, 0.000)
W (0.000, 0.500, 0.500)
W (0.500, 0.000, 0.500)
N (0.000, 0.000, 0.500)

Principal peaks in the range 2θ = 10–80°, in order of rising 2θ:
2θ 21.79, I 9
2θ 38.07, I 100
2θ 44.16, I 36
2θ 44.42, I 18
2θ 64.23, I 12
2θ 64.43, I 23
2θ 77.18, I 26
2θ 77.54, I 13

---

(11)
# Ho3Ni7B2
Calculated powder XRD pattern, Cu Kα (weighted mean of Kα1 and Kα2). Input: DFT lattice parameters and positions (PBE).
Intensities are scaled so that the largest is 100.

Structure:
Cell: 5.067 5.067 14.301 Å, 90.00 90.00 120.00°
Atoms (fractional coordinates):
Ho (0.333, 0.667, 0.032)
Ho (0.333, 0.667, 0.250)
Ho (0.333, 0.667, 0.468)
Ho (0.667, 0.333, 0.532)
Ho (0.667, 0.333, 0.750)
Ho (0.667, 0.333, 0.968)
Ni (0.000, 0.000, 0.000)
Ni (0.000, 0.000, 0.500)
Ni (0.166, 0.331, 0.649)
Ni (0.166, 0.331, 0.851)
Ni (0.166, 0.834, 0.649)
Ni (0.166, 0.834, 0.851)
Ni (0.331, 0.166, 0.149)
Ni (0.331, 0.166, 0.351)
Ni (0.669, 0.834, 0.649)
Ni (0.669, 0.834, 0.851)
Ni (0.834, 0.166, 0.149)
Ni (0.834, 0.166, 0.351)
Ni (0.834, 0.669, 0.149)
Ni (0.834, 0.669, 0.351)
B (0.000, 0.000, 0.250)
B (0.000, 0.000, 0.750)
B (0.333, 0.667, 0.750)
B (0.667, 0.333, 0.250)

Principal peaks in the range 2θ = 10–80°, in order of rising 2θ:
2θ 35.43, I 48
2θ 37.54, I 100
2θ 37.69, I 28
2θ 41.64, I 68
2θ 43.79, I 91
2θ 65.01, I 44
2θ 73.60, I 29
2θ 74.97, I 24

---

(12)
# Pm3SmDy6Ho2
Calculated powder XRD pattern, Cu Kα (weighted mean of Kα1 and Kα2). Input: DFT lattice parameters and positions (PBE).
Intensities are scaled so that the largest is 100.

Structure:
Cell: 6.190 6.190 11.823 Å, 94.99 94.99 119.97°
Atoms (fractional coordinates):
Pm (0.000, 0.000, 0.000)
Pm (0.333, 0.667, 0.000)
Pm (0.667, 0.333, 0.000)
Sm (0.500, 0.500, 0.500)
Dy (0.083, 0.417, 0.252)
Dy (0.249, 0.249, 0.748)
Dy (0.417, 0.083, 0.252)
Dy (0.583, 0.917, 0.748)
Dy (0.751, 0.751, 0.252)
Dy (0.917, 0.583, 0.748)
Ho (0.167, 0.833, 0.500)
Ho (0.833, 0.167, 0.500)

Principal peaks in the range 2θ = 10–80°, in order of rising 2θ:
2θ 30.66, I 100
2θ 35.55, I 51
2θ 51.15, I 30
2θ 51.22, I 6
2θ 60.81, I 32
2θ 60.91, I 11
2θ 63.81, I 9
2θ 75.27, I 6

---

(13)
# CaAc4Cd3
Calculated powder XRD pattern, Cu Kα (weighted mean of Kα1 and Kα2). Input: DFT lattice parameters and positions (PBE).
Intensities are scaled so that the largest is 100.

Structure:
Cell: 10.170 10.170 10.170 Å, 33.43 33.43 33.43°
Atoms (fractional coordinates):
Ca (0.000, 0.000, 0.000)
Ac (0.130, 0.130, 0.130)
Ac (0.381, 0.381, 0.381)
Ac (0.619, 0.619, 0.619)
Ac (0.870, 0.870, 0.870)
Cd (0.258, 0.258, 0.258)
Cd (0.500, 0.500, 0.500)
Cd (0.742, 0.742, 0.742)

Principal peaks in the range 2θ = 10–80°, in order of rising 2θ:
2θ 21.45, I 18
2θ 30.52, I 100
2θ 43.71, I 18
2θ 54.11, I 7
2θ 54.29, I 29
2θ 63.62, I 6
2θ 72.04, I 6
2θ 72.17, I 8